For Pm3Ga3Cu2, a GGA-PBE-relaxed structure gives the calculated X-ray diffraction stick pattern in this record (λ = 1.5418 Å (Cu Kα)).
Lines closer than 0.1° are merged.

Peak list (8 most intense, 2θ from 15° to 90°, sorted by position)
hkl 1 1 4, 2θ 32.48, I = 100
hkl 1 3 1, 2θ 33.24, I = 67
hkl 0 4 0, 2θ 34.35, I = 30
hkl 0 0 6, 2θ 36.09, I = 25
hkl 1 3 3, 2θ 37.47, I = 23
hkl 2 0 0, 2θ 40.63, I = 43
hkl 1 3 4, 2θ 40.85, I = 41
hkl 1 5 4, 2θ 54.40, I = 20

Structural model:
Cell: 4.4415 10.4440 14.9322 Å, 90.00 90.00 90.00°
Space group Cmcm (No. 63)
One atom of each set of equivalent atoms:
Pm1 0.0000 0.1049 0.1067 [8 per cell]
Pm2 0.0000 0.3849 0.2500 [4 per cell]
Ga1 0.0000 0.3226 0.7500 [4 per cell]
Ga2 0.0000 0.3884 0.0398 [8 per cell]
Cu1 0.0000 0.1956 0.5993 [8 per cell]